Entry 1:
Structure and computed PXRD pattern of KAg2HgF8 (a crystal structure in Alexandria, relaxed with PBE; Cu Kα, 1.54184 Å).
Lines closer than 0.1° are merged.

Cell lengths 6.038, 6.038, 10.320 Å; angles 90.00, 90.00, 90.00 degrees
Space group I-4 (No. 82)
Unique sites:
K1 0.000 0.000 0.000 (multiplicity 2)
Ag1 0.000 0.000 0.500 (multiplicity 2)
Ag2 0.000 0.500 0.250 (multiplicity 2)
Hg1 0.000 0.500 0.750 (multiplicity 2)
F1 0.081 0.314 0.503 (multiplicity 8)
F2 0.182 0.191 0.242 (multiplicity 8)

The 10 most intense peaks (10° ≤ 2θ ≤ 80°), sorted by position:
2theta	I_rel
17.0	24
20.8	15
27.1	100
29.6	36
34.8	28
42.3	19
46.3	21
51.0	51
55.9	16
74.2	16

---

Entry 2:
Structure and computed PXRD pattern of LaAgHgF6 (a crystal structure in Alexandria, relaxed with PBE; Cu Kα, 1.54184 Å).
Lines closer than 0.1° are merged.

Cell lengths 5.457, 5.457, 11.407 Å; angles 90.00, 90.00, 90.00 degrees
Space group P4_2nm (No. 102)
Unique sites:
La1 0.000 0.000 0.000 (multiplicity 2)
Ag1 0.000 0.000 0.333 (multiplicity 2)
Hg1 0.000 0.000 0.668 (multiplicity 2)
F1 0.186 0.186 0.835 (multiplicity 4)
F2 0.199 0.199 0.510 (multiplicity 4)
F3 0.202 0.202 0.154 (multiplicity 4)

The 10 most intense peaks (10° ≤ 2θ ≤ 80°), sorted by position:
2theta	I_rel
23.0	100
28.6	91
32.8	24
44.1	77
47.1	18
53.1	17
53.8	20
56.0	24
66.5	15
76.2	13

---

Entry 3:
Structure and computed PXRD pattern of MgAgHg2F8 (a crystal structure in Alexandria, relaxed with PBE; Cu Kα, 1.54184 Å).
Lines closer than 0.1° are merged.

Cell lengths 4.789, 5.242, 7.220 Å; angles 87.00, 89.31, 89.36 degrees
Space group P-1 (No. 2)
Unique sites:
Mg1 0.000 0.000 0.000 (multiplicity 1)
Ag1 0.000 0.000 0.500 (multiplicity 1)
Hg1 0.477 0.508 0.238 (multiplicity 2)
F1 0.151 0.232 0.793 (multiplicity 2)
F2 0.158 0.179 0.236 (multiplicity 2)
F3 0.319 0.756 0.986 (multiplicity 2)
F4 0.330 0.728 0.502 (multiplicity 2)

The 10 most intense peaks (10° ≤ 2θ ≤ 80°), sorted by position:
2theta	I_rel
16.9	44
18.5	38
25.1	100
25.3	89
29.3	58
30.9	87
31.2	36
37.6	22
45.6	23
47.9	54